[1]
Theoretical powder X-ray diffraction pattern of Li2Co3SnO8 for Cu Kα (λ = 1.5418 Å), from a cell relaxed with PBE+U.
Lines closer than 0.1° are merged.

Main lines, by angle (2θ = 10–80°):
(hkl)  2theta  I (rel.)
1 0 1  18.6  17.8
0 0 3  18.8  39.5
0 1 2  21.6  47.8
1 0 4  30.8  38.9
0 2 1  36.1  100.0
0 1 5  36.4  21.8
1 2 5  58.2  16.7
0 2 7  58.5  15.5
2 2 0  63.8  22.9
2 0 8  64.3  19.6

Lattice parameters (Å, degrees): 5.8393 5.8393 14.1498 90.00 90.00 120.00
Space group R3m (No. 160, hexagonal axes)
Unique sites:
Li (0.0000, 0.0000, 0.0000) (multiplicity 3)
Li (0.0000, 0.0000, 0.3749) (multiplicity 3)
Co (0.1724, 0.3448, 0.8256) (multiplicity 9)
Sn (0.0000, 0.0000, 0.6078) (multiplicity 3)
O (0.0000, 0.0000, 0.2300) (multiplicity 3)
O (0.0000, 0.0000, 0.7536) (multiplicity 3)
O (0.0244, 0.5122, 0.7604) (multiplicity 9)
O (0.1869, 0.3738, 0.5698) (multiplicity 9)

---

[2]
Theoretical powder X-ray diffraction pattern of Li4Co5SnO12 for Cu Kα (λ = 1.5418 Å), from a cell relaxed with PBE+U.
Lines closer than 0.1° are merged.

Main lines, by angle (2θ = 10–80°):
(hkl)  2theta  I (rel.)
0 0 4  18.0  100.0
1 1 -2  35.9  10.5
2 -1 1  36.1  20.0
1 1 2  37.5  9.4
1 -2 3  37.6  8.9
-2 1 3  37.8  8.8
2 -1 5  43.3  18.3
-1 2 5  43.5  9.0
1 -2 7  47.1  18.9
-2 1 7  47.6  9.3

Lattice parameters (Å, degrees): 5.038 5.047 19.824 92.85 91.98 119.61
Space group P1 (No. 1)
Unique sites:
Li (0.000, 0.000, 0.000) (multiplicity 1)
Li (0.077, 0.745, 0.244) (multiplicity 1)
Li (0.160, 0.818, 0.504) (multiplicity 1)
Li (0.409, 0.413, 0.243) (multiplicity 1)
Li (0.504, 0.492, 0.504) (multiplicity 1)
Li (0.583, 0.244, 0.744) (multiplicity 1)
Li (0.664, 0.330, 0.999) (multiplicity 1)
Li (0.915, 0.910, 0.745) (multiplicity 1)
Co (0.043, 0.366, 0.122) (multiplicity 1)
Co (0.123, 0.780, 0.374) (multiplicity 1)
Co (0.205, 0.202, 0.624) (multiplicity 1)
Co (0.373, 0.029, 0.122) (multiplicity 1)
Co (0.458, 0.447, 0.374) (multiplicity 1)
Co (0.541, 0.866, 0.624) (multiplicity 1)
Co (0.623, 0.283, 0.872) (multiplicity 1)
Co (0.698, 0.689, 0.121) (multiplicity 1)
Co (0.875, 0.533, 0.624) (multiplicity 1)
Co (0.956, 0.950, 0.872) (multiplicity 1)
Sn (0.289, 0.616, 0.872) (multiplicity 1)
Sn (0.790, 0.121, 0.374) (multiplicity 1)
O (0.077, 0.067, 0.175) (multiplicity 1)
O (0.118, 0.450, 0.316) (multiplicity 1)
O (0.155, 0.132, 0.430) (multiplicity 1)
O (0.200, 0.520, 0.575) (multiplicity 1)
O (0.221, 0.894, 0.673) (multiplicity 1)
O (0.272, 0.241, 0.818) (multiplicity 1)
O (0.307, 0.991, 0.926) (multiplicity 1)
O (0.345, 0.342, 0.067) (multiplicity 1)
O (0.384, 0.697, 0.173) (multiplicity 1)
O (0.426, 0.104, 0.316) (multiplicity 1)
O (0.463, 0.786, 0.430) (multiplicity 1)
O (0.514, 0.184, 0.575) (multiplicity 1)
O (0.559, 0.547, 0.673) (multiplicity 1)
O (0.629, 0.954, 0.818) (multiplicity 1)
O (0.663, 0.635, 0.926) (multiplicity 1)
O (0.703, 0.021, 0.073) (multiplicity 1)
O (0.744, 0.415, 0.175) (multiplicity 1)
O (0.773, 0.754, 0.317) (multiplicity 1)
O (0.809, 0.483, 0.433) (multiplicity 1)
O (0.862, 0.847, 0.575) (multiplicity 1)
O (0.886, 0.210, 0.673) (multiplicity 1)
O (0.915, 0.597, 0.818) (multiplicity 1)
O (0.950, 0.278, 0.926) (multiplicity 1)
O (0.995, 0.660, 0.070) (multiplicity 1)

---

[3]
Theoretical powder X-ray diffraction pattern of Li2Co3SnO8 for Cu Kα (λ = 1.5418 Å), from a cell relaxed with PBE+U.
Lines closer than 0.1° are merged.

Main lines, by angle (2θ = 10–80°):
(hkl)  2theta  I (rel.)
2 0 -1  18.1  100.0
2 2 1  23.4  8.5
2 0 3  35.0  52.1
4 0 2  36.6  20.6
4 4 0  42.5  52.4
6 0 -1  46.6  14.1
6 4 -1  56.2  18.6
0 8 0  61.7  21.6
4 4 4  61.8  10.7
2 8 -1  64.9  12.1

Lattice parameters (Å, degrees): 12.023 12.029 8.493 90.00 90.13 90.00
Space group C2 (No. 5)
Unique sites:
Li (0.122, 0.000, 0.377) (multiplicity 4)
Li (0.123, 0.499, 0.373) (multiplicity 4)
Li (0.123, 0.749, 0.124) (multiplicity 4)
Li (0.125, 0.251, 0.127) (multiplicity 4)
Co (0.000, 0.008, 0.000) (multiplicity 2)
Co (0.000, 0.743, 0.500) (multiplicity 2)
Co (0.128, 0.620, 0.740) (multiplicity 4)
Co (0.130, 0.129, 0.758) (multiplicity 4)
Co (0.135, 0.375, 0.749) (multiplicity 4)
Co (0.244, 0.745, 0.489) (multiplicity 4)
Co (0.245, 0.005, 0.011) (multiplicity 4)
Sn (0.000, 0.250, 0.500) (multiplicity 2)
Sn (0.000, 0.500, 0.000) (multiplicity 2)
Sn (0.124, 0.874, 0.750) (multiplicity 4)
O (0.010, 0.743, 0.727) (multiplicity 4)
O (0.013, 0.009, 0.764) (multiplicity 4)
O (0.018, 0.255, 0.746) (multiplicity 4)
O (0.018, 0.495, 0.753) (multiplicity 4)
O (0.113, 0.855, 0.503) (multiplicity 4)
O (0.116, 0.639, 0.507) (multiplicity 4)
O (0.118, 0.891, 0.995) (multiplicity 4)
O (0.125, 0.115, 0.991) (multiplicity 4)
O (0.127, 0.618, 0.976) (multiplicity 4)
O (0.129, 0.132, 0.522) (multiplicity 4)
O (0.134, 0.362, 0.512) (multiplicity 4)
O (0.134, 0.388, 0.987) (multiplicity 4)
O (0.241, 0.004, 0.771) (multiplicity 4)
O (0.241, 0.249, 0.740) (multiplicity 4)
O (0.241, 0.499, 0.757) (multiplicity 4)
O (0.241, 0.745, 0.725) (multiplicity 4)

---

[4]
Theoretical powder X-ray diffraction pattern of Li3Co4SnO8 for Cu Kα (λ = 1.5418 Å), from a cell relaxed with PBE+U.
Lines closer than 0.1° are merged.

Main lines, by angle (2θ = 10–80°):
(hkl)  2theta  I (rel.)
1 1 0  17.9  100.0
1 1 2  20.8  10.6
1 -1 2  34.5  14.1
1 1 4  34.6  26.1
0 0 4  36.0  13.1
2 2 0  36.3  38.3
0 2 -2  41.9  33.6
2 0 -2  42.1  32.9
2 2 4  42.3  32.9
2 0 6  60.7  19.6

Lattice parameters (Å, degrees): 6.033 6.048 10.556 73.82 73.58 60.32
Space group P-1 (No. 2)
Unique sites:
Li (0.000, 0.000, 0.000) (multiplicity 1)
Li (0.242, 0.749, 0.255) (multiplicity 2)
Li (0.245, 0.744, 0.759) (multiplicity 2)
Li (0.500, 0.500, 0.500) (multiplicity 1)
Co (0.000, 0.000, 0.500) (multiplicity 1)
Co (0.000, 0.500, 0.000) (multiplicity 1)
Co (0.000, 0.500, 0.500) (multiplicity 1)
Co (0.250, 0.253, 0.748) (multiplicity 2)
Co (0.500, 0.000, 0.000) (multiplicity 1)
Co (0.500, 0.000, 0.500) (multiplicity 1)
Co (0.500, 0.500, 0.000) (multiplicity 1)
Sn (0.246, 0.247, 0.251) (multiplicity 2)
O (0.121, 0.159, 0.611) (multiplicity 2)
O (0.122, 0.632, 0.630) (multiplicity 2)
O (0.127, 0.135, 0.122) (multiplicity 2)
O (0.127, 0.611, 0.126) (multiplicity 2)
O (0.341, 0.380, 0.382) (multiplicity 2)
O (0.348, 0.379, 0.887) (multiplicity 2)
O (0.371, 0.884, 0.371) (multiplicity 2)
O (0.387, 0.872, 0.868) (multiplicity 2)

---

[5]
Theoretical powder X-ray diffraction pattern of Li2Co3SnO8 for Cu Kα (λ = 1.5418 Å), from a cell relaxed with PBE+U.
Lines closer than 0.1° are merged.

Main lines, by angle (2θ = 10–80°):
(hkl)  2theta  I (rel.)
0 0 2  18.6  18.4
1 0 1  20.0  100.0
1 0 2  25.8  32.1
1 0 3  33.4  44.4
1 1 2  36.3  58.7
2 0 1  37.1  38.8
2 0 3  46.1  30.5
2 1 3  56.5  22.5
2 0 5  61.1  33.7
2 2 0  64.3  27.4

Lattice parameters (Å, degrees): 5.7933 5.7933 9.5196 90.00 90.00 120.00
Space group P6_3mc (No. 186)
Unique sites:
Li (0.0000, 0.0000, 0.0000) (multiplicity 2)
Li (0.3333, 0.6667, 0.3929) (multiplicity 2)
Co (0.1698, 0.3396, 0.7182) (multiplicity 6)
Sn (0.3333, 0.6667, 0.9965) (multiplicity 2)
O (0.0000, 0.0000, 0.3104) (multiplicity 2)
O (0.0321, 0.5161, 0.8333) (multiplicity 6)
O (0.1576, 0.3152, 0.1092) (multiplicity 6)
O (0.3333, 0.6667, 0.6165) (multiplicity 2)

---

[6]
Theoretical powder X-ray diffraction pattern of Li2Co3SnO8 for Cu Kα (λ = 1.5418 Å), from a cell relaxed with PBE+U.
Lines closer than 0.1° are merged.

Main lines, by angle (2θ = 10–80°):
(hkl)  2theta  I (rel.)
1 1 1  18.6  100.0
2 1 0  24.0  8.0
3 1 1  36.0  51.9
2 2 2  37.6  20.9
4 0 0  43.7  50.9
3 3 1  47.9  14.0
5 1 1  57.9  19.9
4 4 0  63.6  30.7
5 3 1  66.9  15.7
6 2 2  76.3  11.1

Lattice parameters (Å, degrees): 8.279 8.279 8.279 90.00 90.00 90.00
Space group P4_332 (No. 212)
Unique sites:
Li (0.000, 0.000, 0.000) (multiplicity 8)
Co (0.115, 0.135, 0.625) (multiplicity 12)
Sn (0.125, 0.875, 0.375) (multiplicity 4)
O (0.097, 0.128, 0.389) (multiplicity 24)
O (0.116, 0.616, 0.884) (multiplicity 8)

---

[7]
Theoretical powder X-ray diffraction pattern of Li4Co5SnO12 for Cu Kα (λ = 1.5418 Å), from a cell relaxed with PBE+U.
Lines closer than 0.1° are merged.

Main lines, by angle (2θ = 10–80°):
(hkl)  2theta  I (rel.)
0 0 2  18.3  100.0
1 3 -1  36.5  30.7
1 3 1  38.0  18.2
2 0 -2  38.2  9.1
1 3 -3  44.0  18.1
1 3 3  47.9  18.8
2 0 -4  48.2  9.3
1 3 -5  57.8  10.3
3 3 -1  64.6  10.3
3 3 1  67.7  10.0

Lattice parameters (Å, degrees): 4.995 8.666 9.832 90.00 99.40 90.00
Space group C2/m (No. 12)
Unique sites:
Li (0.087, 0.166, 0.259) (multiplicity 8)
Co (0.000, 0.000, 0.500) (multiplicity 2)
Co (0.000, 0.167, 0.000) (multiplicity 4)
Co (0.000, 0.334, 0.500) (multiplicity 4)
Sn (0.000, 0.500, 0.000) (multiplicity 2)
O (0.107, 0.000, 0.889) (multiplicity 4)
O (0.143, 0.322, 0.889) (multiplicity 8)
O (0.194, 0.168, 0.601) (multiplicity 8)
O (0.209, 0.500, 0.602) (multiplicity 4)

---

[8]
Theoretical powder X-ray diffraction pattern of Li2Co3SnO8 for Cu Kα (λ = 1.5418 Å), from a cell relaxed with PBE+U.
Lines closer than 0.1° are merged.

Main lines, by angle (2θ = 10–80°):
(hkl)  2theta  I (rel.)
0 0 2  18.7  17.0
1 0 1  20.1  100.0
1 0 2  25.9  27.9
0 1 3  33.6  44.0
1 1 2  36.5  56.7
0 2 1  37.3  37.0
0 2 3  46.4  30.3
3 -2 3  56.9  20.6
2 0 -5  61.5  32.1
2 -4 0  64.7  26.1

Lattice parameters (Å, degrees): 5.761 5.761 9.473 90.00 90.00 120.00
Space group P1 (No. 1)
Unique sites:
Li (0.000, 0.000, 0.000) (multiplicity 1)
Li (0.000, 0.000, 0.500) (multiplicity 1)
Li (0.333, 0.667, 0.394) (multiplicity 1)
Li (0.667, 0.333, 0.894) (multiplicity 1)
Co (0.173, 0.346, 0.719) (multiplicity 1)
Co (0.173, 0.827, 0.719) (multiplicity 1)
Co (0.346, 0.173, 0.219) (multiplicity 1)
Co (0.654, 0.827, 0.719) (multiplicity 1)
Co (0.827, 0.173, 0.219) (multiplicity 1)
Co (0.827, 0.654, 0.219) (multiplicity 1)
Sn (0.333, 0.667, 0.997) (multiplicity 1)
Sn (0.667, 0.333, 0.497) (multiplicity 1)
O (0.000, 0.000, 0.312) (multiplicity 1)
O (0.000, 0.000, 0.812) (multiplicity 1)
O (0.031, 0.506, 0.834) (multiplicity 1)
O (0.161, 0.322, 0.107) (multiplicity 1)
O (0.161, 0.839, 0.107) (multiplicity 1)
O (0.322, 0.161, 0.607) (multiplicity 1)
O (0.333, 0.667, 0.616) (multiplicity 1)
O (0.475, 0.969, 0.834) (multiplicity 1)
O (0.494, 0.525, 0.834) (multiplicity 1)
O (0.525, 0.031, 0.334) (multiplicity 1)
O (0.525, 0.494, 0.334) (multiplicity 1)
O (0.667, 0.333, 0.116) (multiplicity 1)
O (0.678, 0.839, 0.107) (multiplicity 1)
O (0.839, 0.161, 0.607) (multiplicity 1)
O (0.839, 0.678, 0.607) (multiplicity 1)
O (0.969, 0.494, 0.334) (multiplicity 1)